Structure and theoretical X-ray diffraction stick pattern of PrEr5TmTh2 (the PBE geometry in Alexandria; λ = 1.5418 Å (Cu Kα)).
Intensities are scaled so that the largest is 100.

Unit cell a=8.678 b=8.678 c=15.524 alpha=90.00 beta=90.00 gamma=90.00
Space group I4/mcm (No. 140)
Unique sites:
Pr 0.000 0.500 0.250 (multiplicity 4)
Er 0.000 0.000 0.000 (multiplicity 4)
Er 0.209 0.291 0.140 (multiplicity 16)
Tm 0.000 0.000 0.250 (multiplicity 4)
Th 0.120 0.380 0.500 (multiplicity 8)

Principal peaks in the range 10 to 80 degrees two-theta, sorted by position:
2θ/deg	I/Imax	hkl
28.75	75	2 1 3
29.10	52	2 2 0
30.91	100	2 0 4
32.63	21	3 1 0
34.67	22	0 0 6
37.08	18	2 1 5
37.82	27	3 2 1
43.34	27	4 0 2
46.82	15	0 0 8
52.74	22	4 2 4